Diffraction record for Dy4MgAl. The powder diffraction line list is calculated, not measured: it uses a GGA-PBE-relaxed structure and Cu Kα X-rays.

```
6
Lattice="2.545 1.469 8.489 -2.545 1.469 8.489 0.000 -2.939 8.489" Properties=species:S:1:pos:R:3 pbc="T T T"
Dy 0.000 0.000 3.056
Dy 0.000 0.000 9.466
Dy 0.000 0.000 16.002
Dy 0.000 0.000 22.412
Mg 0.000 0.000 12.734
Al 0.000 0.000 0.000
```

Principal peaks in the range 2θ = 10–80°, sorted by position:
2theta, I (rel.)
24.56, 100
34.76, 56
35.26, 56
43.45, 22
57.15, 20
62.96, 20

***

Diffraction record for DyMg2Al9. The powder diffraction line list is calculated, not measured: it uses a GGA-PBE-relaxed structure and Cu Kα X-rays.

```
12
Lattice="2.711 1.565 8.942 -2.711 1.565 8.942 0.000 -3.131 8.942" Properties=species:S:1:pos:R:3 pbc="T T T"
Dy 0.000 0.000 0.000
Mg 0.000 0.000 3.876
Mg 0.000 0.000 22.951
Al -1.370 -0.791 11.188
Al 0.000 0.000 8.978
Al 0.000 -1.581 15.639
Al -1.370 0.791 15.639
Al 0.000 0.000 13.414
Al 1.370 -0.791 11.188
Al 0.000 1.581 11.188
Al 0.000 0.000 17.849
Al 1.370 0.791 15.639
```

Principal peaks in the range 2θ = 10–80°, sorted by position:
2theta, I (rel.)
23.12, 29
30.10, 30
32.82, 29
33.04, 33
38.49, 29
38.87, 100

***

Diffraction record for Dy4MgAlZn2. The powder diffraction line list is calculated, not measured: it uses a GGA-PBE-relaxed structure and Cu Kα X-rays.

```
8
Lattice="2.567 1.482 8.414 -2.567 1.482 8.414 0.000 -2.964 8.414" Properties=species:S:1:pos:R:3 pbc="T T T"
Dy 0.000 0.000 3.065
Dy 0.000 0.000 9.385
Dy 0.000 0.000 15.856
Dy 0.000 0.000 22.175
Mg 0.000 0.000 12.620
Al 0.000 0.000 0.000
Zn 0.000 0.000 6.176
Zn 0.000 0.000 19.064
```

Principal peaks in the range 2θ = 10–80°, sorted by position:
2theta, I (rel.)
24.49, 35
34.91, 100
43.14, 8
50.20, 17
62.47, 8
62.65, 27

***

Diffraction record for Dy2MnAl3. The powder diffraction line list is calculated, not measured: it uses a GGA-PBE-relaxed structure and Cu Kα X-rays.

```
6
Lattice="2.785 1.608 4.404 -2.785 1.608 4.404 0.000 -3.216 4.404" Properties=species:S:1:pos:R:3 pbc="T T T"
Dy 0.000 0.000 1.667
Dy 0.000 0.000 11.545
Mn 0.000 0.000 6.606
Al -1.392 -0.804 4.404
Al -1.392 0.804 8.808
Al 0.000 1.608 4.404
```

Principal peaks in the range 2θ = 10–80°, sorted by position:
2theta, I (rel.)
19.59, 52
20.16, 36
32.14, 99
32.86, 64
38.24, 100
38.86, 44

***

Diffraction record for DyMn5Al7. The powder diffraction line list is calculated, not measured: it uses a GGA-PBE-relaxed structure and Cu Kα X-rays.

```
13
Lattice="-2.481 4.377 4.348 2.481 -4.377 4.348 2.481 4.377 -4.348" Properties=species:S:1:pos:R:3 pbc="T T T"
Dy 0.000 0.000 0.000
Mn 2.481 0.000 1.994
Mn -1.188 2.192 2.112
Mn 1.188 2.192 2.112
Mn -1.188 6.563 2.112
Mn 1.188 6.563 2.112
Al 2.481 1.840 0.004
Al 2.481 -1.383 4.223
Al 0.000 0.000 2.915
Al 2.481 1.383 4.223
Al 0.000 0.000 5.710
Al 0.000 4.377 2.345
Al 0.000 2.538 4.352
```

Principal peaks in the range 2θ = 10–80°, sorted by position:
2theta, I (rel.)
14.36, 46
20.60, 28
29.12, 58
41.25, 28
41.52, 100
41.88, 71

***

Diffraction record for Dy2Mn2AlNi5. The powder diffraction line list is calculated, not measured: it uses a GGA-PBE-relaxed structure and Cu Kα X-rays.

```
20
Lattice="9.177 0.000 0.000 0.000 9.177 0.000 0.000 0.000 3.590" Properties=species:S:1:pos:R:3 pbc="T T T"
Dy 1.646 2.943 0.000
Dy 2.943 7.532 0.000
Dy 6.234 1.646 0.000
Dy 7.532 6.234 0.000
Mn 1.101 5.690 0.000
Mn 3.487 1.101 0.000
Mn 5.690 8.076 0.000
Mn 8.076 3.487 0.000
Al 0.000 0.000 0.000
Al 4.589 4.589 0.000
Ni 0.000 4.589 1.795
Ni 0.521 7.314 1.795
Ni 1.863 0.521 1.795
Ni 2.725 5.110 1.795
Ni 4.067 2.725 1.795
Ni 4.589 0.000 1.795
Ni 5.110 6.452 1.795
Ni 6.452 4.067 1.795
Ni 7.314 8.656 1.795
Ni 8.656 1.863 1.795
```

Principal peaks in the range 2θ = 10–80°, sorted by position:
2theta, I (rel.)
31.64, 38
33.15, 55
39.94, 100
40.53, 80
41.76, 41
43.59, 42

***

Diffraction record for Dy2MnAl2Ru5. The powder diffraction line list is calculated, not measured: it uses a GGA-PBE-relaxed structure and Cu Kα X-rays.

```
20
Lattice="10.002 0.000 0.000 0.000 10.002 0.000 0.000 0.000 3.282" Properties=species:S:1:pos:R:3 pbc="T T T"
Dy 1.713 3.288 0.000
Dy 3.288 8.290 0.000
Dy 6.714 1.713 0.000
Dy 8.290 6.714 0.000
Mn 0.000 0.000 0.000
Mn 5.001 5.001 0.000
Al 1.289 6.290 0.000
Al 3.712 1.289 0.000
Al 6.290 8.713 0.000
Al 8.713 3.712 0.000
Ru 0.000 5.001 1.641
Ru 0.630 8.068 1.641
Ru 1.934 0.630 1.641
Ru 3.067 5.631 1.641
Ru 4.372 3.067 1.641
Ru 5.001 0.000 1.641
Ru 5.631 6.935 1.641
Ru 6.935 4.372 1.641
Ru 8.068 9.373 1.641
Ru 9.373 1.934 1.641
```

Principal peaks in the range 2θ = 10–80°, sorted by position:
2theta, I (rel.)
33.87, 53
37.06, 73
38.17, 34
39.57, 100
42.67, 23
69.10, 23

***

Diffraction record for DyNbAl4. The powder diffraction line list is calculated, not measured: it uses a GGA-PBE-relaxed structure and Cu Kα X-rays.

```
6
Lattice="0.000 3.779 3.779 3.779 0.000 3.779 3.779 3.779 0.000" Properties=species:S:1:pos:R:3 pbc="T T T"
Dy 0.000 0.000 0.000
Nb 5.668 5.668 5.668
Al 2.838 2.838 2.838
Al 4.719 4.719 2.838
Al 4.719 2.838 4.719
Al 2.838 4.719 4.719
```

Principal peaks in the range 2θ = 10–80°, sorted by position:
2theta, I (rel.)
20.35, 56
33.54, 90
39.55, 100
59.96, 33
64.01, 32
70.48, 21

***

Diffraction record for Nd4Dy15Al. The powder diffraction line list is calculated, not measured: it uses a GGA-PBE-relaxed structure and Cu Kα X-rays.

```
20
Lattice="4.981 0.000 0.000 0.000 4.981 0.000 0.000 0.000 25.208" Properties=species:S:1:pos:R:3 pbc="T T T"
Nd 0.000 0.000 2.568
Nd 0.000 0.000 7.679
Nd 0.000 0.000 17.529
Nd 0.000 0.000 22.641
Dy 0.000 2.491 0.000
Dy 0.000 2.491 5.140
Dy 0.000 2.491 10.281
Dy 0.000 2.491 14.927
Dy 0.000 2.491 20.069
Dy 2.491 0.000 0.000
Dy 2.491 0.000 5.140
Dy 2.491 0.000 10.281
Dy 2.491 0.000 14.927
Dy 2.491 0.000 20.069
Dy 2.491 2.491 2.581
Dy 2.491 2.491 7.751
Dy 2.491 2.491 12.604
Dy 2.491 2.491 17.457
Dy 2.491 2.491 22.627
Al 0.000 0.000 12.604
```

Principal peaks in the range 2θ = 10–80°, sorted by position:
2theta, I (rel.)
30.97, 100
35.62, 16
36.06, 34
51.59, 22
51.92, 12
61.69, 28

***

Diffraction record for Nd2Dy3Al3. The powder diffraction line list is calculated, not measured: it uses a GGA-PBE-relaxed structure and Cu Kα X-rays.

```
16
Lattice="3.724 0.000 0.000 0.000 5.151 0.000 0.000 0.000 22.005" Properties=species:S:1:pos:R:3 pbc="T T T"
Nd 0.000 0.000 5.024
Nd 0.000 0.000 16.982
Nd 1.862 2.575 5.979
Nd 1.862 2.575 16.026
Dy 0.000 0.000 0.000
Dy 0.000 2.575 2.558
Dy 0.000 2.575 19.447
Dy 1.862 0.000 8.444
Dy 1.862 0.000 13.561
Dy 1.862 2.575 11.003
Al 0.000 0.000 11.003
Al 0.000 2.575 8.526
Al 0.000 2.575 13.479
Al 1.862 0.000 2.476
Al 1.862 0.000 19.529
Al 1.862 2.575 0.000
```

Principal peaks in the range 2θ = 10–80°, sorted by position:
2theta, I (rel.)
24.24, 27
26.64, 43
32.55, 19
33.88, 100
34.84, 26
57.59, 20

***

Diffraction record for NdDyAl6. The powder diffraction line list is calculated, not measured: it uses a GGA-PBE-relaxed structure and Cu Kα X-rays.

```
8
Lattice="6.365 0.000 0.000 -3.183 5.512 0.000 0.000 0.000 4.658" Properties=species:S:1:pos:R:3 pbc="T T T"
Nd 0.000 0.000 0.000
Dy 3.183 1.837 2.329
Al -1.384 2.876 0.000
Al 0.000 2.103 2.329
Al -1.362 4.461 2.329
Al 1.384 2.876 0.000
Al 0.000 5.273 0.000
Al 1.362 4.461 2.329
```

Principal peaks in the range 2θ = 10–80°, sorted by position:
2theta, I (rel.)
16.08, 24
25.03, 100
28.04, 48
32.48, 25
37.93, 98
47.83, 25

***

Diffraction record for Nd6DyAl2. The powder diffraction line list is calculated, not measured: it uses a GGA-PBE-relaxed structure and Cu Kα X-rays.

```
9
Lattice="6.471 -1.896 0.000 6.471 1.896 0.000 -3.996 0.000 11.359" Properties=species:S:1:pos:R:3 pbc="T T T"
Nd -0.953 0.000 3.691
Nd 2.390 0.000 4.633
Nd 3.591 0.000 1.400
Nd 5.356 0.000 9.959
Nd 6.557 0.000 6.726
Nd 9.899 0.000 7.668
Dy 0.000 0.000 0.000
Al 1.337 0.000 9.148
Al 7.610 0.000 2.211
```

Principal peaks in the range 2θ = 10–80°, sorted by position:
2theta, I (rel.)
25.06, 25
29.98, 21
30.93, 48
31.67, 46
32.27, 100
32.49, 99